Structure and computed X-ray diffraction stick pattern of CrSb2H12C8O4 (a PBE+U-relaxed structure; Cu Ka).
Lines closer than 0.1° are merged.

Cell and atoms:
a = 8.800 Å, b = 8.800 Å, c = 10.339 Å
α = 110.58°, β = 110.58°, γ = 81.71°
Fractional positions:
Cr 0.211 0.211 0.309
Cr 0.789 0.789 0.691
Sb 0.102 0.778 0.843
Sb 0.222 0.898 0.157
Sb 0.778 0.102 0.843
Sb 0.898 0.222 0.157
H 0.034 0.247 0.846
H 0.124 0.604 0.132
H 0.137 0.745 0.309
H 0.153 0.454 0.712
H 0.231 0.498 0.905
H 0.247 0.034 0.846
H 0.255 0.863 0.691
H 0.346 0.549 0.814
H 0.396 0.876 0.868
H 0.451 0.654 0.186
H 0.454 0.153 0.712
H 0.498 0.231 0.905
H 0.502 0.769 0.095
H 0.546 0.847 0.288
H 0.549 0.346 0.814
H 0.604 0.124 0.132
H 0.654 0.451 0.186
H 0.745 0.137 0.309
H 0.753 0.966 0.154
H 0.769 0.502 0.095
H 0.847 0.546 0.288
H 0.863 0.255 0.691
H 0.876 0.396 0.868
H 0.966 0.753 0.154
C 0.097 0.728 0.192
C 0.152 0.152 0.445
C 0.195 0.427 0.417
C 0.223 0.540 0.815
C 0.272 0.903 0.808
C 0.273 0.273 0.177
C 0.427 0.195 0.417
C 0.460 0.777 0.185
C 0.540 0.223 0.815
C 0.573 0.805 0.583
C 0.727 0.727 0.823
C 0.728 0.097 0.192
C 0.777 0.460 0.185
C 0.805 0.573 0.583
C 0.848 0.848 0.555
C 0.903 0.272 0.808
O 0.123 0.123 0.535
O 0.185 0.564 0.487
O 0.316 0.316 0.100
O 0.436 0.815 0.513
O 0.564 0.185 0.487
O 0.684 0.684 0.900
O 0.815 0.436 0.513
O 0.877 0.877 0.465

Top 10 peaks for 10° ≤ 2θ ≤ 90°, by intensity:
2θ = 13.57°, intensity 100
2θ = 11.89°, intensity 83
2θ = 10.74°, intensity 70
2θ = 43.57°, intensity 35
2θ = 21.58°, intensity 27
2θ = 27.60°, intensity 24
2θ = 24.39°, intensity 22
2θ = 29.27°, intensity 21
2θ = 30.84°, intensity 20
2θ = 41.32°, intensity 20